Record 1
Structure and theoretical X-ray diffraction stick pattern of BaPu3O9 (DFT lattice parameters and positions (PBE); copper Kα).

Atomic structure:
Cell: 7.9104 7.9104 4.1469 Å, 90.00 90.00 120.00°
Space group P6/mmm (No. 191)
Symmetry-distinct sites (fractional):
Ba1 0.0000 0.0000 0.0000
Pu1 0.0000 0.5000 0.5000
O1 0.0000 0.5000 0.0000
O2 0.1969 0.3939 0.5000

Top 10 peaks for 2θ from 10° to 90°, in order of falling intensity:
| index | d_spacing | I (rel.) |
| --- | --- | --- |
| 2 0 0 | 3.425 | 100 |
| 1 0 1 | 3.548 | 39 |
| 2 0 1 | 2.641 | 32 |
| 2 0 2 | 1.774 | 32 |
| 0 0 1 | 4.147 | 29 |
| 2 2 0 | 1.978 | 28 |
| 1 1 1 | 2.862 | 25 |
| 2 2 2 | 1.431 | 19 |
| 2 2 1 | 1.785 | 16 |
| 2 1 1 | 2.196 | 16 |

***

Record 2
Structure and theoretical X-ray diffraction stick pattern of BaPu2O7 (DFT lattice parameters and positions (PBE); copper Kα).

Atomic structure:
Cell: 6.4644 11.7500 4.1459 Å, 90.00 90.00 90.00°
Space group Cmmm (No. 65)
Symmetry-distinct sites (fractional):
Ba1 0.0000 0.0000 0.0000
Pu1 0.0000 0.3247 0.5000
O1 0.0000 0.3196 0.0000
O2 0.0000 0.5000 0.5000
O3 0.1932 0.1468 0.5000

Top 10 peaks for 2θ from 10° to 90°, in order of falling intensity:
| index | d_spacing | I (rel.) |
| --- | --- | --- |
| 1 3 0 | 3.348 | 100 |
| 2 0 0 | 3.232 | 29 |
| 0 2 1 | 3.387 | 27 |
| 3 3 0 | 1.888 | 26 |
| 0 0 1 | 4.146 | 23 |
| 1 3 2 | 1.763 | 20 |
| 1 5 1 | 1.949 | 17 |
| 2 2 1 | 2.338 | 17 |
| 1 3 1 | 2.606 | 12 |
| 0 0 2 | 2.073 | 12 |

***

Record 3
Structure and theoretical X-ray diffraction stick pattern of Ba4Pu6O19 (DFT lattice parameters and positions (PBE); copper Kα).

Atomic structure:
Cell: 10.1745 10.1745 10.1745 Å, 90.00 90.00 90.00°
Space group I23 (No. 197)
Symmetry-distinct sites (fractional):
Ba1 0.1475 0.1475 0.8525
Pu1 0.0000 0.3339 0.5000
O1 0.0000 0.0000 0.0000
O2 0.0000 0.0000 0.3682
O3 0.0049 0.3318 0.2920

Top 10 peaks for 2θ from 10° to 90°, in order of falling intensity:
| index | d_spacing | I (rel.) |
| --- | --- | --- |
| 3 1 0 | 3.217 | 100 |
| 3 2 1 | 2.719 | 72 |
| 4 1 3 | 1.995 | 48 |
| 1 1 0 | 7.194 | 32 |
| 6 0 0 | 1.696 | 29 |
| 2 0 0 | 5.087 | 28 |
| 2 1 1 | 4.154 | 27 |
| 6 3 1 | 1.500 | 20 |
| 5 3 2 | 1.651 | 20 |
| 4 2 2 | 2.077 | 18 |

***

Record 4
Structure and theoretical X-ray diffraction stick pattern of BaPu2O11 (DFT lattice parameters and positions (PBE); copper Kα).

Atomic structure:
Cell: 8.8370 9.0083 9.1226 Å, 69.46 61.16 61.30°
Space group P1 (No. 1)
Symmetry-distinct sites (fractional):
Ba1 0.0000 0.0000 0.0000
Ba2 0.4995 0.5000 0.5000
Pu1 0.0000 0.4999 0.0004
Pu2 0.4996 0.0001 0.4994
Pu3 0.5002 0.5001 0.9996
Pu4 0.9990 0.9999 0.5007
O1 0.0238 0.0193 0.2837
O2 0.0567 0.2894 0.9597
O3 0.1780 0.5343 0.7916
O4 0.1953 0.7917 0.4755
O5 0.2386 0.1539 0.3719
O6 0.2444 0.3684 0.1421
O7 0.3071 0.7105 0.0268
O8 0.3102 0.1949 0.1983
O9 0.3189 0.9662 0.7067
O10 0.4448 0.2077 0.5444
O11 0.4821 0.4770 0.2149
O12 0.5184 0.5233 0.7842
O13 0.5544 0.7923 0.4545
O14 0.6799 0.0341 0.2920
O15 0.6880 0.8051 0.8018
O16 0.6935 0.2898 0.9723
O17 0.7553 0.6318 0.8579
O18 0.7600 0.8463 0.6282
O19 0.8029 0.2082 0.5258
O20 0.8221 0.4654 0.2092
O21 0.9435 0.7103 0.0412
O22 0.9738 0.9802 0.7178

Top 10 peaks for 2θ from 10° to 90°, in order of falling intensity:
| index | d_spacing | I (rel.) |
| --- | --- | --- |
| 0 1 1 | 6.038 | 100 |
| 0 0 2 | 3.947 | 73 |
| 0 2 0 | 3.903 | 71 |
| 2 0 2 | 3.369 | 61 |
| 2 2 0 | 3.345 | 60 |
| 2 0 0 | 3.581 | 54 |
| 2 2 2 | 3.550 | 54 |
| 0 1 -1 | 5.165 | 48 |
| 2 1 3 | 2.943 | 40 |
| 2 1 1 | 4.418 | 36 |

***

Record 5
Structure and theoretical X-ray diffraction stick pattern of Rb2BaPu3O12 (DFT lattice parameters and positions (PBE); copper Kα).

Atomic structure:
Cell: 8.0698 8.0698 17.6729 Å, 90.00 90.00 120.00°
Space group R-3m (No. 166, hexagonal axes)
Symmetry-distinct sites (fractional):
Rb1 0.0000 0.0000 0.1105
Ba1 0.0000 0.0000 0.5000
Pu1 0.0000 0.5000 0.0000
O1 0.0477 0.5238 0.8967
O2 0.0843 0.5422 0.3116

Top 10 peaks for 2θ from 10° to 90°, in order of falling intensity:
| index | d_spacing | I (rel.) |
| --- | --- | --- |
| 2 0 2 | 3.249 | 100 |
| 0 2 1 | 3.428 | 93 |
| 1 1 3 | 3.329 | 64 |
| 0 0 3 | 5.891 | 57 |
| 1 0 1 | 6.499 | 53 |
| 2 2 0 | 2.017 | 48 |
| 0 2 4 | 2.741 | 32 |
| 0 1 5 | 3.154 | 30 |
| 2 0 8 | 1.867 | 27 |
| 0 3 3 | 2.166 | 22 |

***

Record 6
Structure and theoretical X-ray diffraction stick pattern of BaPuSe2O (DFT lattice parameters and positions (PBE); copper Kα).

Atomic structure:
Cell: 7.4779 4.2692 9.0184 Å, 90.00 106.73 90.00°
Space group P2_1/m (No. 11)
Symmetry-distinct sites (fractional):
Ba1 0.1789 0.2500 0.3053
Pu1 0.3106 0.2500 0.8200
Se1 0.2920 0.7500 0.0366
Se2 0.3423 0.7500 0.6176
O1 0.0382 0.2500 0.7418

Top 10 peaks for 2θ from 10° to 90°, in order of falling intensity:
| index | d_spacing | I (rel.) |
| --- | --- | --- |
| 1 1 -2 | 3.021 | 100 |
| 0 1 2 | 3.036 | 65 |
| 2 0 0 | 3.580 | 43 |
| 1 0 -4 | 2.252 | 39 |
| 1 0 -1 | 6.510 | 35 |
| 1 1 0 | 3.667 | 28 |
| 2 1 2 | 2.116 | 28 |
| 0 2 0 | 2.135 | 25 |
| 0 0 2 | 4.318 | 19 |
| 3 1 -1 | 2.152 | 19 |

***

Record 7
Structure and theoretical X-ray diffraction stick pattern of Ba3TbPu2O9 (DFT lattice parameters and positions (PBE); copper Kα).

Atomic structure:
Cell: 6.2178 6.2178 7.6194 Å, 90.00 90.00 120.00°
Space group P-3m1 (No. 164)
Symmetry-distinct sites (fractional):
Ba1 0.0000 0.0000 0.0000
Ba2 0.3333 0.6667 0.6582
Tb1 0.0000 0.0000 0.5000
Pu1 0.3333 0.6667 0.1655
O1 0.0000 0.5000 0.0000
O2 0.1710 0.3420 0.3285

Top 10 peaks for 2θ from 10° to 90°, in order of falling intensity:
| index | d_spacing | I (rel.) |
| --- | --- | --- |
| 1 1 0 | 3.109 | 100 |
| 3 0 0 | 1.795 | 42 |
| 2 0 2 | 2.199 | 28 |
| 4 1 0 | 1.175 | 22 |
| 3 1 2 | 1.391 | 19 |
| 2 2 0 | 1.555 | 18 |
| 1 0 1 | 4.397 | 11 |
| 0 4 2 | 1.269 | 6 |
| 1 1 3 | 1.967 | 5 |
| 4 0 4 | 1.099 | 3 |

***

Record 8
Structure and theoretical X-ray diffraction stick pattern of BaPuTeO6 (DFT lattice parameters and positions (PBE); copper Kα).

Atomic structure:
Cell: 5.5836 5.8846 5.8911 Å, 60.32 89.29 89.74°
Space group P1 (No. 1)
Symmetry-distinct sites (fractional):
Ba1 0.0000 0.0000 0.0000
Pu1 0.4972 0.3167 0.3203
Te1 0.4942 0.6284 0.6500
O1 0.2828 0.0582 0.5635
O2 0.2957 0.3789 0.9671
O3 0.3002 0.6271 0.3764
O4 0.6882 0.3538 0.6445
O5 0.6961 0.0064 0.3468
O6 0.7093 0.5706 0.0720

Top 10 peaks for 2θ from 10° to 90°, in order of falling intensity:
| index | d_spacing | I (rel.) |
| --- | --- | --- |
| 1 1 0 | 3.771 | 100 |
| 0 1 2 | 2.944 | 90 |
| 1 0 1 | 3.788 | 89 |
| 1 0 -1 | 3.747 | 84 |
| 1 0 0 | 5.583 | 70 |
| 2 1 -1 | 2.022 | 48 |
| 2 1 2 | 2.038 | 44 |
| 0 1 -1 | 2.958 | 41 |
| 0 1 0 | 5.112 | 39 |
| 1 2 2 | 2.325 | 32 |

***

Record 9
Structure and theoretical X-ray diffraction stick pattern of Ba2PuTe2O2 (DFT lattice parameters and positions (PBE); copper Kα).

Atomic structure:
Cell: 4.6116 4.6116 17.9096 Å, 90.00 90.00 90.00°
Space group I4/mmm (No. 139)
Symmetry-distinct sites (fractional):
Ba1 0.0000 0.0000 0.1182
Pu1 0.0000 0.0000 0.5000
Te1 0.0000 0.0000 0.3264
O1 0.0000 0.5000 0.0000

Top 10 peaks for 2θ from 10° to 90°, in order of falling intensity:
| index | d_spacing | I (rel.) |
| --- | --- | --- |
| 1 0 5 | 2.829 | 100 |
| 1 1 0 | 3.261 | 94 |
| 2 1 5 | 1.787 | 52 |
| 2 0 0 | 2.306 | 44 |
| 1 0 1 | 4.467 | 20 |
| 1 1 6 | 2.202 | 18 |
| 3 1 0 | 1.458 | 18 |
| 2 0 6 | 1.825 | 18 |
| 3 2 5 | 1.205 | 17 |
| 3 0 5 | 1.413 | 16 |

***

Record 10
Structure and theoretical X-ray diffraction stick pattern of Ba2PuTlO6 (DFT lattice parameters and positions (PBE); copper Kα).

Atomic structure:
Cell: 10.9779 6.2916 6.4991 Å, 90.00 122.90 90.00°
Space group C2/m (No. 12)
Symmetry-distinct sites (fractional):
Ba1 0.2465 0.0000 0.2277
Pu1 0.0000 0.5000 0.0000
Tl1 0.0000 0.0000 0.5000
O1 0.0705 0.2756 0.8637
O2 0.1975 0.5000 0.3142

Top 10 peaks for 2θ from 10° to 90°, in order of falling intensity:
| index | d_spacing | I (rel.) |
| --- | --- | --- |
| 1 1 1 | 3.293 | 100 |
| 3 1 -1 | 3.163 | 94 |
| 2 2 -2 | 2.258 | 45 |
| 0 2 0 | 3.146 | 44 |
| 2 0 -2 | 3.244 | 43 |
| 5 1 -3 | 1.832 | 31 |
| 4 2 0 | 1.859 | 23 |
| 1 1 -3 | 1.909 | 22 |
| 3 3 -1 | 1.819 | 21 |
| 4 0 0 | 2.304 | 20 |

***

Record 11
Structure and theoretical X-ray diffraction stick pattern of Ba3PuU2O9 (DFT lattice parameters and positions (PBE); copper Kα).

Atomic structure:
Cell: 6.2951 6.2951 7.7113 Å, 90.00 90.00 120.00°
Space group P-3m1 (No. 164)
Symmetry-distinct sites (fractional):
Ba1 0.0000 0.0000 0.0000
Ba2 0.3333 0.6667 0.6599
Pu1 0.0000 0.0000 0.5000
U1 0.3333 0.6667 0.1666
O1 0.0000 0.5000 0.0000
O2 0.1710 0.3420 0.3280

Top 10 peaks for 2θ from 10° to 90°, in order of falling intensity:
| index | d_spacing | I (rel.) |
| --- | --- | --- |
| 1 1 0 | 3.148 | 100 |
| 3 0 0 | 1.817 | 43 |
| 2 0 2 | 2.226 | 27 |
| 4 1 0 | 1.190 | 23 |
| 3 1 2 | 1.408 | 19 |
| 2 2 0 | 1.574 | 18 |
| 1 0 1 | 4.452 | 13 |
| 1 1 3 | 1.991 | 6 |
| 0 4 2 | 1.285 | 6 |
| 0 1 5 | 1.484 | 3 |

***

Record 12
Structure and theoretical X-ray diffraction stick pattern of Ba3PuZn2O8 (DFT lattice parameters and positions (PBE); copper Kα).

Atomic structure:
Cell: 5.9593 5.9593 7.7189 Å, 90.00 90.00 120.00°
Space group P-3m1 (No. 164)
Symmetry-distinct sites (fractional):
Ba1 0.0000 0.0000 0.0000
Ba2 0.3333 0.6667 0.6609
Pu1 0.0000 0.0000 0.5000
Zn1 0.3333 0.6667 0.2072
O1 0.1621 0.3242 0.3398
O2 0.3333 0.6667 0.9701

Top 10 peaks for 2θ from 10° to 90°, in order of falling intensity:
| index | d_spacing | I (rel.) |
| --- | --- | --- |
| 1 1 0 | 2.980 | 100 |
| 0 1 2 | 3.091 | 98 |
| 2 0 2 | 2.145 | 47 |
| 1 2 2 | 1.741 | 38 |
| 0 0 1 | 7.719 | 26 |
| 3 0 0 | 1.720 | 20 |
| 1 0 4 | 1.807 | 19 |
| 1 0 0 | 5.161 | 17 |
| 3 1 2 | 1.342 | 16 |
| 2 2 0 | 1.490 | 16 |